(1)
# PtPb3
Computed powder diffractogram, Cu Ka. Input: a structure optimized by DFT (PBE).

Peak list (10 most intense, 10° ≤ 2θ ≤ 80°, sorted by position)
- 2θ 11.99, I = 13.9
- 2θ 24.12, I = 39.3
- 2θ 32.08, I = 10.6
- 2θ 33.49, I = 100.0
- 2θ 42.42, I = 25.8
- 2θ 43.54, I = 14.9
- 2θ 46.75, I = 10.5
- 2θ 53.28, I = 9.5
- 2θ 55.10, I = 16.8
- 2θ 64.96, I = 15.0

Cell and atoms:
a b c (Å): 8.523 8.523 3.886
angles (deg): 90.00 90.00 120.00
Sites, in units of the cell vectors:
Pt (0.333, 0.667, 0.250)
Pt (0.667, 0.333, 0.750)
Pb (0.192, 0.384, 0.750)
Pb (0.192, 0.808, 0.750)
Pb (0.384, 0.192, 0.250)
Pb (0.616, 0.808, 0.750)
Pb (0.808, 0.192, 0.250)
Pb (0.808, 0.616, 0.250)

=====

(2)
# Nd4Fe
Computed powder diffractogram, Cu Ka. Input: a structure optimized by DFT (PBE).

Peak list (10 most intense, 10° ≤ 2θ ≤ 80°, sorted by position)
- 2θ 28.09, I = 100.0
- 2θ 32.55, I = 40.3
- 2θ 35.56, I = 7.3
- 2θ 42.70, I = 8.0
- 2θ 46.70, I = 42.8
- 2θ 55.38, I = 40.6
- 2θ 58.07, I = 9.3
- 2θ 68.18, I = 6.2
- 2θ 75.29, I = 14.7
- 2θ 77.60, I = 10.7

Cell and atoms:
a b c (Å): 7.781 7.781 7.781
angles (deg): 60.00 60.00 60.00
Sites, in units of the cell vectors:
Nd (0.223, 0.759, 0.759)
Nd (0.241, 0.241, 0.241)
Nd (0.241, 0.241, 0.777)
Nd (0.241, 0.777, 0.241)
Nd (0.759, 0.223, 0.759)
Nd (0.759, 0.759, 0.223)
Nd (0.759, 0.759, 0.759)
Nd (0.777, 0.241, 0.241)
Fe (0.375, 0.375, 0.375)
Fe (0.625, 0.625, 0.625)

=====

(3)
# MnNCl3
Computed powder diffractogram, Cu Ka. Input: a structure optimized by DFT (PBE).

Peak list (10 most intense, 10° ≤ 2θ ≤ 80°, sorted by position)
- 2θ 17.62, I = 100.0
- 2θ 27.24, I = 26.8
- 2θ 27.64, I = 95.5
- 2θ 29.52, I = 63.6
- 2θ 33.51, I = 42.0
- 2θ 35.68, I = 40.8
- 2θ 40.88, I = 35.0
- 2θ 41.55, I = 25.9
- 2θ 44.71, I = 46.2
- 2θ 45.80, I = 30.3

Cell and atoms:
a b c (Å): 6.948 8.621 7.300
angles (deg): 90.00 90.00 90.00
Sites, in units of the cell vectors:
Mn (0.000, 0.000, 0.000)
Mn (0.000, 0.500, 0.000)
Mn (0.500, 0.000, 0.500)
Mn (0.500, 0.500, 0.500)
N (0.066, 0.250, 0.417)
N (0.434, 0.750, 0.917)
N (0.566, 0.250, 0.083)
N (0.934, 0.750, 0.583)
Cl (0.052, 0.250, 0.881)
Cl (0.175, 0.083, 0.326)
Cl (0.175, 0.417, 0.326)
Cl (0.325, 0.583, 0.826)
Cl (0.325, 0.917, 0.826)
Cl (0.448, 0.750, 0.381)
Cl (0.552, 0.250, 0.619)
Cl (0.675, 0.083, 0.174)
Cl (0.675, 0.417, 0.174)
Cl (0.825, 0.583, 0.674)
Cl (0.825, 0.917, 0.674)
Cl (0.948, 0.750, 0.119)

=====

(4)
# NaHfAlP2SO12
Computed powder diffractogram, Cu Ka. Input: a structure optimized by DFT (PBE).

Peak list (10 most intense, 10° ≤ 2θ ≤ 80°, sorted by position)
- 2θ 14.14, I = 98.0
- 2θ 14.38, I = 44.7
- 2θ 19.56, I = 35.3
- 2θ 19.83, I = 63.2
- 2θ 20.58, I = 100.0
- 2θ 23.64, I = 34.0
- 2θ 28.50, I = 39.7
- 2θ 31.32, I = 35.8
- 2θ 31.56, I = 34.2
- 2θ 31.90, I = 41.3

Cell and atoms:
a b c (Å): 8.623 8.623 9.092
angles (deg): 119.22 119.22 60.24
Sites, in units of the cell vectors:
Na (0.242, 0.758, 0.500)
Na (0.758, 0.242, 0.000)
Hf (0.105, 0.608, 0.052)
Hf (0.608, 0.105, 0.552)
Al (0.382, 0.924, 0.930)
Al (0.924, 0.382, 0.430)
P (0.014, 0.779, 0.734)
P (0.205, 0.285, 0.236)
P (0.285, 0.205, 0.736)
P (0.779, 0.014, 0.234)
S (0.513, 0.703, 0.234)
S (0.703, 0.513, 0.734)
O (0.027, 0.312, 0.260)
O (0.032, 0.757, 0.902)
O (0.114, 0.237, 0.570)
O (0.179, 0.468, 0.219)
O (0.192, 0.806, 0.765)
O (0.237, 0.114, 0.070)
O (0.258, 0.377, 0.904)
O (0.312, 0.027, 0.760)
O (0.345, 0.680, 0.221)
O (0.377, 0.258, 0.404)
O (0.468, 0.179, 0.719)
O (0.480, 0.738, 0.077)
O (0.533, 0.868, 0.397)
O (0.534, 0.678, 0.758)
O (0.609, 0.977, 0.069)
O (0.678, 0.534, 0.258)
O (0.680, 0.345, 0.721)
O (0.738, 0.480, 0.577)
O (0.757, 0.032, 0.402)
O (0.806, 0.192, 0.265)
O (0.842, 0.963, 0.716)
O (0.868, 0.533, 0.897)
O (0.963, 0.842, 0.216)
O (0.977, 0.609, 0.569)

=====

(5)
# TmTlO2
Computed powder diffractogram, Cu Ka. Input: a structure optimized by DFT (PBE).

Peak list (10 most intense, 10° ≤ 2θ ≤ 80°, sorted by position)
- 2θ 27.38, I = 50.4
- 2θ 31.35, I = 98.6
- 2θ 35.25, I = 100.0
- 2θ 48.15, I = 37.9
- 2θ 53.18, I = 31.7
- 2θ 56.28, I = 23.6
- 2θ 60.84, I = 34.0
- 2θ 63.05, I = 14.4
- 2θ 65.43, I = 16.4
- 2θ 75.15, I = 10.9

Cell and atoms:
a b c (Å): 3.444 3.444 19.541
angles (deg): 90.00 90.00 120.00
Sites, in units of the cell vectors:
Tm (0.000, 0.000, 0.000)
Tm (0.333, 0.667, 0.667)
Tm (0.667, 0.333, 0.333)
Tl (0.000, 0.000, 0.500)
Tl (0.333, 0.667, 0.167)
Tl (0.667, 0.333, 0.833)
O (0.000, 0.000, 0.277)
O (0.000, 0.000, 0.723)
O (0.333, 0.667, 0.390)
O (0.333, 0.667, 0.944)
O (0.667, 0.333, 0.056)
O (0.667, 0.333, 0.610)

=====

(6)
# DySnAu
Computed powder diffractogram, Cu Ka. Input: a structure optimized by DFT (PBE).

Peak list (10 most intense, 10° ≤ 2θ ≤ 80°, sorted by position)
- 2θ 24.02, I = 8.8
- 2θ 24.87, I = 8.3
- 2θ 32.61, I = 100.0
- 2θ 38.12, I = 74.2
- 2θ 45.56, I = 10.2
- 2θ 49.18, I = 12.1
- 2θ 51.02, I = 28.8
- 2θ 63.87, I = 33.4
- 2θ 65.43, I = 27.5
- 2θ 68.89, I = 13.4

Cell and atoms:
a b c (Å): 4.722 4.722 7.411
angles (deg): 90.00 90.00 120.00
Sites, in units of the cell vectors:
Dy (0.000, 0.000, 0.000)
Dy (0.000, 0.000, 0.500)
Sn (0.333, 0.667, 0.250)
Sn (0.667, 0.333, 0.750)
Au (0.333, 0.667, 0.750)
Au (0.667, 0.333, 0.250)

=====

(7)
# VS2
Computed powder diffractogram, Cu Ka. Input: a structure optimized by DFT (PBE).

Peak list (10 most intense, 10° ≤ 2θ ≤ 80°, sorted by position)
- 2θ 15.57, I = 100.0
- 2θ 34.42, I = 47.9
- 2θ 35.00, I = 54.1
- 2θ 35.74, I = 58.8
- 2θ 37.90, I = 58.7
- 2θ 38.78, I = 55.0
- 2θ 39.83, I = 49.0
- 2θ 42.70, I = 30.6
- 2θ 57.80, I = 29.9
- 2θ 57.96, I = 27.4

Cell and atoms:
a b c (Å): 3.190 3.191 11.459
angles (deg): 83.68 85.50 60.05
Sites, in units of the cell vectors:
V (0.000, 0.000, 0.000)
S (0.348, 0.377, 0.871)
S (0.652, 0.623, 0.129)